# La2TbBi3
Simulated PXRD pattern, copper Kα. Input: a cell relaxed with PBE.
Kinematic intensities with the Lorentz-polarization factor, no thermal factor.

Structure:
Lattice parameters (Å, degrees): 9.265 13.117 27.831 90.00 90.00 90.00
Space group Fddd (No. 70, origin choice 2)
One atom of each set of equivalent atoms:
La: 0.125 0.125 0.043 [16 per cell]
La: 0.125 0.125 0.374 [16 per cell]
Tb: 0.125 0.125 0.541 [16 per cell]
Bi: 0.116 0.375 0.875 [16 per cell]
Bi: 0.120 0.371 0.710 [32 per cell]

The 10 most intense peaks (2θ from 10° to 80°), most intense first:
27.20 deg, d 3.278, rel. 1000, (2 0 6); 38.85 deg, d 2.318, rel. 785, (0 0 12); 63.45 deg, d 1.466, rel. 374, (2 8 6); 48.07 deg, d 1.893, rel. 286, (0 4 12); 70.34 deg, d 1.338, rel. 276, (2 4 18); 56.11 deg, d 1.639, rel. 135, (0 8 0); 23.50 deg, d 3.785, rel. 56, (0 2 6); 45.90 deg, d 1.977, rel. 32, (2 2 12); 61.66 deg, d 1.504, rel. 14, (0 2 18); 75.32 deg, d 1.262, rel. 11, (0 6 18)